Record 1
# YTlHgPb
Calculated powder diffractogram, Cu Ka. Input: a structure optimized by DFT (PBE).
Neutral-atom scattering factors, no anomalous dispersion.

Peak list (12 most intense, 2θ = 10–90°, by angle)
| 2theta | I/Imax |
| --- | --- |
| 32.74 | 100 |
| 36.89 | 18 |
| 38.14 | 17 |
| 38.91 | 16 |
| 54.11 | 12 |
| 54.70 | 12 |
| 55.63 | 11 |
| 63.85 | 15 |
| 65.54 | 14 |
| 66.59 | 13 |
| 68.63 | 12 |
| 89.22 | 6 |

Crystal structure
```
YTlHgPb
1.0
4.6290 0.0000 0.0000
0.0000 4.7188 0.0000
0.0000 0.0000 4.8732
Y Tl Hg Pb
1 1 1 1
direct
0.0000 0.0000 0.0000
0.5000 0.0000 0.5000
0.0000 0.5000 0.5000
0.5000 0.5000 0.0000
```

---

Record 2
# UTaMoRu
Calculated powder diffractogram, Cu Ka. Input: a structure optimized by DFT (PBE).
Neutral-atom scattering factors, no anomalous dispersion.

Peak list (10 most intense, 2θ = 10–90°, by angle)
| 2theta | I/Imax |
| --- | --- |
| 23.41 | 1 |
| 27.09 | 14 |
| 38.69 | 100 |
| 45.72 | 1 |
| 47.87 | 4 |
| 55.87 | 17 |
| 63.17 | 6 |
| 70.03 | 36 |
| 82.99 | 12 |
| 89.29 | 3 |

Crystal structure
```
UTaMoRu
1.0
0.0000 3.2911 3.2911
3.2911 0.0000 3.2911
3.2911 3.2911 0.0000
U Ta Mo Ru
1 1 1 1
direct
0.0000 0.0000 0.0000
0.5000 0.5000 0.5000
0.2500 0.2500 0.2500
0.7500 0.7500 0.7500
```

---

Record 3
# KMnPb
Calculated powder diffractogram, Cu Ka. Input: a structure optimized by DFT (PBE).
Neutral-atom scattering factors, no anomalous dispersion.

Peak list (12 most intense, 2θ = 10–90°, by angle)
| 2theta | I/Imax |
| --- | --- |
| 13.90 | 100 |
| 23.88 | 54 |
| 28.00 | 30 |
| 31.15 | 66 |
| 32.50 | 57 |
| 35.50 | 44 |
| 42.37 | 21 |
| 43.42 | 36 |
| 46.63 | 20 |
| 55.73 | 22 |
| 57.14 | 24 |
| 75.53 | 18 |

Crystal structure
```
KMnPb
1.0
-1.9480 1.9480 6.3727
1.9480 -1.9480 6.3727
1.9480 1.9480 -6.3727
K Mn Pb
1 1 1
direct
0.0000 0.0000 0.0000
0.7274 0.7274 0.0000
0.2839 0.2839 0.0000
```